Diffraction record for Rb7SmFe6P8O34. The powder XRD pattern is computed, not measured: it uses a cell relaxed with GGA+U and Cu Kα X-rays.
Neutral-atom scattering factors, no anomalous dispersion.

Atomic structure:
abc: 9.437 10.038 10.159
angles: 92.09 93.75 116.32
Space group P-1 (No. 2)
Symmetry-distinct sites (fractional):
Rb 0.000 0.000 0.000 (multiplicity 1)
Rb 0.125 0.976 0.373 (multiplicity 2)
Rb 0.176 0.438 0.904 (multiplicity 2)
Rb 0.429 0.791 0.658 (multiplicity 2)
Sm 0.000 0.500 0.500 (multiplicity 1)
Fe 0.335 0.094 0.755 (multiplicity 2)
Fe 0.343 0.424 0.277 (multiplicity 2)
Fe 0.344 0.892 0.035 (multiplicity 2)
P 0.058 0.756 0.785 (multiplicity 2)
P 0.287 0.332 0.573 (multiplicity 2)
P 0.306 0.736 0.310 (multiplicity 2)
P 0.411 0.232 0.039 (multiplicity 2)
O 0.079 0.629 0.711 (multiplicity 2)
O 0.118 0.274 0.214 (multiplicity 2)
O 0.125 0.779 0.933 (multiplicity 2)
O 0.144 0.904 0.713 (multiplicity 2)
O 0.160 0.389 0.562 (multiplicity 2)
O 0.208 0.717 0.431 (multiplicity 2)
O 0.216 0.176 0.630 (multiplicity 2)
O 0.241 0.803 0.200 (multiplicity 2)
O 0.287 0.583 0.255 (multiplicity 2)
O 0.319 0.220 0.901 (multiplicity 2)
O 0.320 0.086 0.108 (multiplicity 2)
O 0.333 0.309 0.431 (multiplicity 2)
O 0.412 0.732 0.973 (multiplicity 2)
O 0.413 0.367 0.120 (multiplicity 2)
O 0.431 0.444 0.663 (multiplicity 2)
O 0.433 0.005 0.876 (multiplicity 2)
O 0.484 0.843 0.357 (multiplicity 2)

Largest 10 diffraction maxima, by angle, 10° ≤ 2θ ≤ 80°:
Position (°2θ)  intensity
24.7  469
26.3  661
27.6  363
27.7  808
28.4  596
28.8  606
29.3  1000
29.5  533
30.4  671
30.8  468